[1]
Calculated powder diffractogram
Compound: Ho6Sc2Ni
Radiation: Cu Kα X-rays
Structure: a structure optimized by DFT (GGA-PBE)
Intensities are scaled so that the largest is 100.

Main lines, low angle first (2θ from 5° to 70°):
d (Å), I (rel.)
7.649, 35
4.299, 72
3.234, 55
3.188, 39
2.790, 96
2.688, 61
2.585, 98
2.550, 100
2.340, 32
2.279, 72
2.062, 34
1.445, 34

Crystal structure
Cell: 8.599 16.738 3.507 Å, 90.00 90.00 90.00°
Space group Cmmm (No. 65)
Symmetry-distinct sites (fractional):
Ho 0.177 0.161 0.000 (multiplicity 8)
Ho 0.231 0.500 0.500 (multiplicity 4)
Sc 0.000 0.316 0.500 (multiplicity 4)
Ni 0.000 0.000 0.000 (multiplicity 2)

***

[2]
Calculated powder diffractogram
Compound: HoScNi10
Radiation: Cu Kα X-rays
Structure: a structure optimized by DFT (GGA-PBE)
Intensities are scaled so that the largest is 100.

Main lines, low angle first (2θ from 5° to 70°):
d (Å), I (rel.)
8.317, 14
3.144, 6
2.870, 32
2.464, 6
2.401, 26
2.080, 32
2.054, 100
1.983, 31
1.842, 19
1.529, 12
1.461, 8
1.435, 18

Crystal structure
Cell: 3.965 4.804 8.317 Å, 90.00 90.00 90.00°
Space group Pmmm (No. 47)
Symmetry-distinct sites (fractional):
Ho 0.000 0.000 0.000 (multiplicity 1)
Sc 0.000 0.500 0.500 (multiplicity 1)
Ni 0.000 0.000 0.339 (multiplicity 2)
Ni 0.000 0.500 0.174 (multiplicity 2)
Ni 0.500 0.000 0.500 (multiplicity 1)
Ni 0.500 0.251 0.253 (multiplicity 4)
Ni 0.500 0.500 0.000 (multiplicity 1)

***

[3]
Calculated powder diffractogram
Compound: Ho4NiTeSe2
Radiation: Cu Kα X-rays
Structure: a structure optimized by DFT (GGA-PBE)
Intensities are scaled so that the largest is 100.

Main lines, low angle first (2θ from 5° to 70°):
d (Å), I (rel.)
3.451, 7
3.306, 13
2.934, 52
2.911, 100
2.122, 17
2.071, 34
2.062, 39
2.001, 18
1.724, 8
1.714, 10
1.653, 21
1.455, 14

Crystal structure
Cell: 7.221 4.002 7.262 Å, 90.00 108.25 90.00°
Space group P2/m (No. 10)
Symmetry-distinct sites (fractional):
Ho 0.227 0.000 0.215 (multiplicity 2)
Ho 0.254 0.500 0.775 (multiplicity 2)
Ni 0.000 0.500 0.000 (multiplicity 1)
Te 0.000 0.000 0.500 (multiplicity 1)
Se 0.500 0.000 0.000 (multiplicity 1)
Se 0.500 0.500 0.500 (multiplicity 1)